Theoretical X-ray powder pattern of Nd2DyNi2B2N3 for Cu Kα (λ = 1.5418 Å), from a PBE-relaxed structure.

The 12 most intense peaks (15 to 90 degrees two-theta), in order of rising 2θ:
2θ 28.22, I 100, (1 0 3)
2θ 33.46, I 78, (1 0 5)
2θ 35.41, I 39, (1 1 0)
2θ 35.65, I 50, (0 0 8)
2θ 36.55, I 45, (1 1 2)
2θ 39.81, I 29, (1 1 4)
2θ 44.80, I 26, (1 1 6)
2θ 50.95, I 39, (2 0 0)
2θ 51.13, I 23, (1 1 8)
2θ 59.26, I 27, (2 1 3)
2θ 62.34, I 27, (2 1 5)
2θ 63.73, I 35, (2 0 8)

```
data_Nd2DyNi2B2N3
_chemical_formula_sum 'Nd4 Dy2 Ni4 B4 N6'
_cell_length_a 3.585
_cell_length_b 3.585
_cell_length_c 20.146
_cell_angle_alpha 90.00
_cell_angle_beta 90.00
_cell_angle_gamma 90.00
_space_group_name_H-M_alt 'I 4/m m m'
_space_group_IT_number 139
_space_group_name_Hall '-I 4 2'
loop_
_atom_site_label
_atom_site_fract_x
_atom_site_fract_y
_atom_site_fract_z
Nd1 0.000 0.000 0.125
Dy1 0.000 0.000 0.500
Ni1 0.000 0.500 0.250
B1 0.000 0.000 0.309
N1 0.000 0.000 0.000
N2 0.000 0.000 0.382
```